Ac4TlAsSe2: simulated X-ray powder pattern (a wavelength of 1.5418 Å), based on DFT lattice parameters and positions (GGA-PBE).
No peak broadening, texture or thermal motion is included.

```
data_Ac4TlAsSe2
_cell_length_a 7.9506
_cell_length_b 4.5339
_cell_length_c 8.0521
_cell_angle_alpha 90.00
_cell_angle_beta 109.12
_cell_angle_gamma 90.00
_symmetry_space_group_name_H-M 'P 1 2/m 1'
_symmetry_Int_Tables_number 10
_symmetry_space_group_name_Hall '-P 2y'
loop_
_atom_site_label
_atom_site_type_symbol
_atom_site_fract_x
_atom_site_fract_y
_atom_site_fract_z
Ac1 Ac 0.2451 0.0000 0.2416
Ac2 Ac 0.2540 0.5000 0.7592
Tl1 Tl 0.0000 0.0000 0.5000
As1 As 0.0000 0.5000 0.0000
Se1 Se 0.5000 0.0000 0.0000
Se2 Se 0.5000 0.5000 0.5000
```

The 8 most intense peaks (2θ = 10–80°), by intensity:
2θ (°)	d_spacing	Rel. int.	hkl
27.51	3.243	1000	1 1 1
27.37	3.259	508	2 0 -2
39.00	2.310	397	1 1 -3
39.38	2.288	391	3 1 -1
48.94	1.861	212	2 2 -2
38.82	2.320	200	2 0 2
39.76	2.267	191	0 2 0
23.91	3.722	157	1 1 -1